Simulated X-ray powder pattern of NiPb3F7 for Cu Kα, from the GGA+U geometry in Alexandria.
Neutral-atom scattering factors, no anomalous dispersion.

Main lines, in order of rising 2θ (5 to 70 degrees two-theta):
Position (°2θ)  Rel. int.
25.8  876
28.6  1000
33.0  398
44.2  613
50.6  244
53.1  370

Structural model:
abc: 7.216 7.216 8.269
angles: 90.00 90.00 120.03
Atoms (fractional coordinates):
Ni 0.000 0.000 0.000
Ni 0.000 0.000 0.500
Pb 0.000 0.499 0.250
Pb 0.000 0.501 0.750
Pb 0.499 0.000 0.750
Pb 0.500 0.500 0.000
Pb 0.500 0.500 0.500
Pb 0.501 0.000 0.250
F 0.001 0.999 0.750
F 0.083 0.323 0.000
F 0.083 0.323 0.500
F 0.323 0.083 0.000
F 0.323 0.083 0.500
F 0.390 0.610 0.250
F 0.390 0.610 0.750
F 0.610 0.390 0.250
F 0.610 0.390 0.750
F 0.677 0.917 0.000
F 0.677 0.917 0.500
F 0.917 0.677 0.000
F 0.917 0.677 0.500
F 0.999 0.001 0.250